[1]
The following is a theoretical powder XRD pattern of Co7Ge. It was derived from a cell relaxed with PBE, using Cu Kα (weighted mean of Kα1 and Kα2).

Structure:
Cell: 2.5320 2.5320 39.4581 Å, 90.00 90.00 90.00°
Space group P4/nmm (No. 129, origin choice 2)
Inequivalent atoms, fractional coordinates:
Co 0.2500 0.2500 0.0215 (multiplicity 2)
Co 0.2500 0.2500 0.1080 (multiplicity 2)
Co 0.2500 0.2500 0.1949 (multiplicity 2)
Co 0.2500 0.2500 0.2815 (multiplicity 2)
Co 0.2500 0.2500 0.7608 (multiplicity 2)
Co 0.2500 0.2500 0.8484 (multiplicity 2)
Co 0.2500 0.2500 0.9352 (multiplicity 2)
Ge 0.2500 0.2500 0.6694 (multiplicity 2)

Largest 12 diffraction maxima, low angle first, 2θ = 15–90°:
2θ (°)	I/Imax	hkl
37.3	3.0	1 0 5
40.0	5.5	1 0 8
41.2	5.7	1 0 9
43.8	100.0	1 0 11
45.2	79.9	1 0 12
51.0	49.1	1 1 0
51.1	11.1	1 1 1
51.2	4.3	1 1 2
53.4	18.3	0 0 23
75.0	17.3	2 0 0
75.1	3.1	2 0 1
77.0	22.8	1 1 23

[2]
The following is a theoretical powder XRD pattern of Tm3Ga3Co2Ni. It was derived from a cell relaxed with PBE, using Cu Kα (weighted mean of Kα1 and Kα2).

Structure:
Cell: 6.8905 6.8905 3.7451 Å, 90.00 90.00 120.00°
Space group P-62m (No. 189)
Inequivalent atoms, fractional coordinates:
Tm 0.0000 0.5889 0.0000 (multiplicity 3)
Ga 0.0000 0.2505 0.5000 (multiplicity 3)
Co 0.3333 0.6667 0.5000 (multiplicity 2)
Ni 0.0000 0.0000 0.0000 (multiplicity 1)

Largest 12 diffraction maxima, low angle first, 2θ = 15–90°:
2θ (°)	I/Imax	hkl
25.9	17.4	1 1 0
29.9	17.4	2 0 0
35.4	100.0	1 1 1
38.6	79.2	2 0 1
40.0	42.0	2 1 0
45.6	20.0	3 0 0
48.6	21.2	0 0 2
55.5	18.2	3 1 0
61.2	28.4	3 1 1
64.7	20.0	2 1 2
73.7	20.3	3 2 1
76.9	14.1	3 1 2

[3]
The following is a theoretical powder XRD pattern of AlAgBrCl3. It was derived from a cell relaxed with PBE, using Cu Kα (weighted mean of Kα1 and Kα2).

Structure:
Cell: 5.8639 5.8763 6.5646 Å, 115.50 116.08 90.38°
Space group P1 (No. 1)
Inequivalent atoms, fractional coordinates:
Al 0.0000 0.0000 0.0000 (multiplicity 1)
Ag 0.7448 0.2458 0.4960 (multiplicity 1)
Br 0.6182 0.6719 0.7560 (multiplicity 1)
Cl 0.1150 0.0764 0.7601 (multiplicity 1)
Cl 0.3109 0.8796 0.2337 (multiplicity 1)
Cl 0.9198 0.3481 0.2316 (multiplicity 1)

Largest 12 diffraction maxima, low angle first, 2θ = 15–90°:
2θ (°)	I/Imax	hkl
17.2	32.3	0 0 1
17.4	71.2	1 0 0
17.5	62.9	0 1 -1
21.5	26.4	1 1 -1
27.4	100.0	-1 1 1
27.6	43.3	1 -1 1
27.9	48.2	1 1 -2
35.1	26.2	1 -2 0
35.3	42.1	2 1 -1
43.8	30.8	2 2 -2
46.7	24.9	2 0 1
47.0	26.6	2 0 -3

[4]
The following is a theoretical powder XRD pattern of NdHo2Sn3Pd3. It was derived from a cell relaxed with PBE, using Cu Kα (weighted mean of Kα1 and Kα2).

Structure:
Cell: 4.0497 13.1175 7.5351 Å, 90.00 90.00 90.00°
Space group Amm2 (No. 38)
Inequivalent atoms, fractional coordinates:
Nd 0.0000 0.0000 0.0000 (multiplicity 2)
Ho 0.0000 0.2043 0.3856 (multiplicity 4)
Sn 0.5000 0.0000 0.3338 (multiplicity 2)
Sn 0.5000 0.1285 0.7157 (multiplicity 4)
Pd 0.0000 0.0000 0.5841 (multiplicity 2)
Pd 0.5000 0.1707 0.0908 (multiplicity 4)

Largest 12 diffraction maxima, low angle first, 2θ = 15–90°:
2θ (°)	I/Imax	hkl
32.4	100.0	1 0 2
35.3	89.1	1 2 2
36.3	32.9	0 5 1
36.4	14.5	0 1 3
41.5	22.2	0 3 3
42.8	15.4	1 5 1
44.8	26.4	2 0 0
58.9	16.5	2 5 1
62.6	13.1	2 3 3
66.3	21.0	1 8 2
74.7	11.5	3 0 2
76.3	12.0	3 2 2

[5]
The following is a theoretical powder XRD pattern of Ge2Ir9. It was derived from a cell relaxed with PBE, using Cu Kα (weighted mean of Kα1 and Kα2).

Structure:
Cell: 2.7641 2.7641 36.5996 Å, 90.00 90.00 120.00°
Space group P-3m1 (No. 164)
Inequivalent atoms, fractional coordinates:
Ge 0.3333 0.6667 0.3023 (multiplicity 2)
Ir 0.0000 0.0000 0.0000 (multiplicity 1)
Ir 0.0000 0.0000 0.1819 (multiplicity 2)
Ir 0.3333 0.6667 0.1213 (multiplicity 2)
Ir 0.3333 0.6667 0.7565 (multiplicity 2)
Ir 0.3333 0.6667 0.9393 (multiplicity 2)

Largest 12 diffraction maxima, low angle first, 2θ = 15–90°:
2θ (°)	I/Imax	hkl
39.4	34.3	0 0 16
39.6	100.0	1 0 5
40.5	92.2	1 0 6
42.0	27.2	0 0 17
45.3	25.5	0 1 10
46.7	84.2	0 1 11
48.3	18.6	0 1 12
67.8	42.3	1 1 0
68.7	27.3	1 0 22
81.3	25.9	1 1 16
83.0	23.3	1 1 17
86.4	15.0	2 0 11

[6]
The following is a theoretical powder XRD pattern of Sr5Pr2Pb3N2. It was derived from a cell relaxed with PBE, using Cu Kα (weighted mean of Kα1 and Kα2).

Structure:
Cell: 5.2041 26.3903 5.1386 Å, 90.00 90.00 90.00°
Space group Cmmm (No. 65)
Inequivalent atoms, fractional coordinates:
Sr 0.0000 0.0000 0.0000 (multiplicity 2)
Sr 0.0000 0.0966 0.5000 (multiplicity 4)
Sr 0.0000 0.4012 0.0000 (multiplicity 4)
Pr 0.0000 0.1957 0.0000 (multiplicity 4)
Pb 0.0000 0.3016 0.5000 (multiplicity 4)
Pb 0.0000 0.5000 0.5000 (multiplicity 2)
N 0.0000 0.1096 0.0000 (multiplicity 4)

Largest 12 diffraction maxima, low angle first, 2θ = 15–90°:
2θ (°)	I/Imax	hkl
29.7	100.0	1 5 1
34.0	18.7	0 10 0
34.5	18.5	2 0 0
34.9	17.9	0 0 2
49.2	13.2	2 10 0
49.5	12.9	0 10 2
49.9	13.0	2 0 2
58.2	14.7	1 15 1
58.8	14.9	3 5 1
59.4	14.4	1 5 3
61.7	13.3	2 10 2
81.0	6.1	3 5 3

[7]
The following is a theoretical powder XRD pattern of Er4Cu2SnGe4. It was derived from a cell relaxed with PBE, using Cu Kα (weighted mean of Kα1 and Kα2).

Structure:
Cell: 15.4871 4.2268 7.1203 Å, 90.00 108.28 90.00°
Space group C2/m (No. 12)
Inequivalent atoms, fractional coordinates:
Er 0.0890 0.0000 0.3822 (multiplicity 4)
Er 0.1510 0.0000 0.9308 (multiplicity 4)
Cu 0.2169 0.5000 0.6306 (multiplicity 4)
Sn 0.0000 0.5000 0.0000 (multiplicity 2)
Ge 0.0633 0.5000 0.6593 (multiplicity 4)
Ge 0.1999 0.5000 0.2497 (multiplicity 4)

Largest 12 diffraction maxima, low angle first, 2θ = 15–90°:
2θ (°)	I/Imax	hkl
27.9	25.1	3 1 0
32.4	23.1	2 0 2
33.0	29.4	1 1 -2
33.3	76.7	3 1 1
34.4	100.0	3 1 -2
34.8	31.9	6 0 -1
36.0	60.8	1 1 2
36.1	36.5	5 1 -1
37.2	44.8	5 1 0
38.0	26.6	6 0 -2
42.8	56.8	0 2 0
58.0	21.2	9 1 -1

[8]
The following is a theoretical powder XRD pattern of Tl2GaHgF6. It was derived from a cell relaxed with PBE, using Cu Kα (weighted mean of Kα1 and Kα2).

Structure:
Cell: 8.6197 8.6197 8.6197 Å, 90.00 90.00 90.00°
Space group Fm-3m (No. 225)
Inequivalent atoms, fractional coordinates:
Tl 0.2500 0.2500 0.2500 (multiplicity 8)
Ga 0.0000 0.0000 0.0000 (multiplicity 4)
Hg 0.0000 0.0000 0.5000 (multiplicity 4)
F 0.0000 0.0000 0.2197 (multiplicity 24)

Largest 12 diffraction maxima, low angle first, 2θ = 15–90°:
2θ (°)	I/Imax	hkl
17.8	5.3	1 1 1
20.6	1.8	2 0 0
29.3	100.0	2 2 0
34.5	5.7	3 1 1
36.1	5.2	2 2 2
41.9	28.5	4 0 0
45.9	3.8	3 3 1
52.0	41.1	4 2 2
60.8	18.1	4 4 0
68.9	19.4	6 2 0
76.6	6.0	4 4 4
84.0	22.8	6 4 2

[9]
The following is a theoretical powder XRD pattern of CsCoGeSe3. It was derived from a cell relaxed with PBE, using Cu Kα (weighted mean of Kα1 and Kα2).

Structure:
Cell: 8.9568 3.7651 10.6450 Å, 90.00 114.02 90.00°
Space group P2_1/m (No. 11)
Inequivalent atoms, fractional coordinates:
Cs 0.2230 0.2500 0.2611 (multiplicity 2)
Co 0.3744 0.7500 0.8519 (multiplicity 2)
Ge 0.1256 0.2500 0.5579 (multiplicity 2)
Se 0.1754 0.2500 0.8034 (multiplicity 2)
Se 0.3390 0.7500 0.6064 (multiplicity 2)
Se 0.4377 0.7500 0.0884 (multiplicity 2)

Largest 12 diffraction maxima, low angle first, 2θ = 15–90°:
2θ (°)	I/Imax	hkl
21.7	21.9	2 0 0
25.1	27.8	1 0 -3
26.1	15.6	1 1 0
29.3	51.0	1 1 -2
32.3	100.0	2 1 0
33.9	64.8	1 0 -4
38.7	29.2	3 1 -1
48.3	32.6	0 2 0
49.6	43.7	1 1 4
52.8	16.0	5 0 -1
55.9	25.8	4 1 -5
60.4	23.8	1 2 -4

[10]
The following is a theoretical powder XRD pattern of Sm4Cl6O. It was derived from a cell relaxed with PBE, using Cu Kα (weighted mean of Kα1 and Kα2).

Structure:
Cell: 9.1719 9.1719 7.2104 Å, 90.00 90.00 120.00°
Space group P6_3mc (No. 186)
Inequivalent atoms, fractional coordinates:
Sm 0.1925 0.3851 0.0000 (multiplicity 6)
Sm 0.3333 0.6667 0.3393 (multiplicity 2)
Cl 0.0170 0.5085 0.7049 (multiplicity 6)
Cl 0.1355 0.2709 0.3890 (multiplicity 6)
O 0.3333 0.6667 0.0061 (multiplicity 2)

Largest 12 diffraction maxima, low angle first, 2θ = 15–90°:
2θ (°)	I/Imax	hkl
16.6	61.7	1 0 1
22.4	30.0	2 0 0
24.7	22.2	0 0 2
25.6	100.0	2 0 1
31.6	17.9	1 1 2
32.3	27.3	2 1 1
33.6	45.7	2 0 2
36.1	37.6	3 0 1
39.0	43.5	2 1 2
39.2	32.8	1 0 3
39.3	58.4	2 2 0
64.1	43.4	5 0 2

[11]
The following is a theoretical powder XRD pattern of Cs2HgI4. It was derived from a cell relaxed with PBE, using Cu Kα (weighted mean of Kα1 and Kα2).

Structure:
Cell: 8.0128 8.4960 11.2496 Å, 90.00 110.31 90.00°
Space group P2_1 (No. 4)
Inequivalent atoms, fractional coordinates:
Cs 0.1950 0.0000 0.0336 (multiplicity 2)
Cs 0.3034 0.9923 0.5930 (multiplicity 2)
Hg 0.1854 0.5002 0.7749 (multiplicity 2)
I 0.0402 0.7317 0.2851 (multiplicity 2)
I 0.0494 0.2635 0.2904 (multiplicity 2)
I 0.3557 0.5123 0.0474 (multiplicity 2)
I 0.4284 0.5019 0.6442 (multiplicity 2)

Largest 12 diffraction maxima, low angle first, 2θ = 15–90°:
2θ (°)	I/Imax	hkl
20.9	56.2	0 2 0
23.7	47.5	1 0 2
23.8	59.9	2 0 -2
24.1	55.0	1 2 0
26.0	61.3	1 1 2
26.1	77.1	2 1 -2
26.9	78.1	1 2 1
27.0	38.6	1 2 -2
31.8	100.0	1 0 -4
38.2	32.2	1 2 3
39.9	37.6	2 3 -2
42.6	40.1	0 4 0

[12]
The following is a theoretical powder XRD pattern of PrNd2Co2B2C3. It was derived from a cell relaxed with PBE, using Cu Kα (weighted mean of Kα1 and Kα2).

Structure:
Cell: 3.6933 3.6933 21.0313 Å, 90.00 90.00 90.00°
Space group I4/mmm (No. 139)
Inequivalent atoms, fractional coordinates:
Pr 0.0000 0.0000 0.0000 (multiplicity 2)
Nd 0.0000 0.0000 0.3707 (multiplicity 4)
Co 0.0000 0.5000 0.2500 (multiplicity 4)
B 0.0000 0.0000 0.1986 (multiplicity 4)
C 0.0000 0.0000 0.1270 (multiplicity 4)
C 0.0000 0.0000 0.5000 (multiplicity 2)

Largest 12 diffraction maxima, low angle first, 2θ = 15–90°:
2θ (°)	I/Imax	hkl
27.3	100.0	1 0 3
32.3	60.6	1 0 5
34.1	44.4	0 0 8
34.3	34.0	1 1 0
35.4	30.7	1 1 2
38.5	30.0	1 1 4
43.2	30.8	1 1 6
49.4	34.1	2 0 0
54.0	21.5	1 0 11
57.3	27.2	2 1 3
60.2	20.7	2 1 5
61.4	31.0	2 0 8

[13]
The following is a theoretical powder XRD pattern of LaGa2Cu2Pt. It was derived from a cell relaxed with PBE, using Cu Kα (weighted mean of Kα1 and Kα2).

Structure:
Cell: 5.4376 9.6419 4.0256 Å, 90.00 90.00 90.00°
Space group Cmmm (No. 65)
Inequivalent atoms, fractional coordinates:
La 0.0000 0.0000 0.0000 (multiplicity 2)
Ga 0.0000 0.3268 0.0000 (multiplicity 4)
Cu 0.2500 0.2500 0.5000 (multiplicity 4)
Pt 0.0000 0.5000 0.5000 (multiplicity 2)

Largest 12 diffraction maxima, low angle first, 2θ = 15–90°:
2θ (°)	I/Imax	hkl
18.7	21.6	1 1 0
29.1	67.7	1 1 1
32.9	20.6	2 0 0
37.3	22.5	0 4 0
38.0	36.4	2 2 0
39.5	100.0	1 3 1
44.4	24.5	2 2 1
45.0	28.7	0 0 2
60.4	18.6	2 2 2
63.3	24.8	3 3 1
67.7	16.3	2 6 0
85.1	17.4	2 6 2